Structure and computed X-ray diffraction stick pattern of Li2Mn3F8 (a structure optimized by DFT (PBE+U); Cu Kα X-rays).
Kinematic intensities with the Lorentz-polarization factor, no thermal factor.

Structural model:
Cell lengths 6.834, 6.834, 8.733 Å; angles 90.00, 90.00, 123.13 degrees
Element x y z (fractional)
Li (0.108, 0.892, 0.892)
Li (0.392, 0.608, 0.392)
Li (0.608, 0.392, 0.608)
Li (0.892, 0.108, 0.108)
Mn (0.000, 0.000, 0.500)
Mn (0.096, 0.404, 0.750)
Mn (0.404, 0.096, 0.250)
Mn (0.500, 0.500, 0.000)
Mn (0.596, 0.904, 0.750)
Mn (0.904, 0.596, 0.250)
F (0.022, 0.978, 0.253)
F (0.133, 0.364, 0.987)
F (0.136, 0.367, 0.513)
F (0.237, 0.763, 0.765)
F (0.263, 0.737, 0.265)
F (0.364, 0.133, 0.013)
F (0.367, 0.136, 0.487)
F (0.478, 0.522, 0.753)
F (0.522, 0.478, 0.247)
F (0.633, 0.864, 0.513)
F (0.636, 0.867, 0.987)
F (0.737, 0.263, 0.735)
F (0.763, 0.237, 0.235)
F (0.864, 0.633, 0.487)
F (0.867, 0.636, 0.013)
F (0.978, 0.022, 0.747)

Top 12 peaks for 10° ≤ 2θ ≤ 80°, sorted by position:
2theta  Rel. int.
17.92  1000
18.54  381
25.21  413
28.08  209
31.26  159
32.94  451
40.88  704
41.35  497
42.22  185
56.56  171
58.05  210
59.55  417